Entry 1:
This entry pairs a crystal structure of ZrCu2Te2S with its calculated X-ray diffraction stick pattern. Radiation: λ = 1.5418 Å (Cu Kα). Structure: DFT lattice parameters and positions (GGA-PBE).
Neutral-atom scattering factors, no anomalous dispersion.

Cell and atoms:
abc: 19.7833 4.0225 7.2472
angles: 90.00 98.60 90.00
Space group C2/m (No. 12)
Unique sites:
Zr1 0.1380 0.0000 0.0454 (multiplicity 4)
Cu1 0.0423 0.5000 0.1601 (multiplicity 4)
Cu2 0.2133 0.0000 0.4223 (multiplicity 4)
Te1 0.0799 0.0000 0.3759 (multiplicity 4)
Te2 0.2493 0.5000 0.2140 (multiplicity 4)
S1 0.0810 0.5000 0.8721 (multiplicity 4)

Peak list (10 most intense, 15° ≤ 2θ ≤ 90°, by angle)
d/Å, two_theta, intensity, hkl
5.408, 16.39, 356, 2 0 1
3.423, 26.03, 511, 3 1 0
3.260, 27.36, 520, 6 0 0
3.121, 28.60, 408, 4 0 -2
2.999, 29.79, 813, 3 1 1
2.612, 34.33, 482, 1 1 2
2.333, 38.59, 334, 5 1 -2
2.268, 39.74, 477, 7 1 -1
2.070, 43.72, 1000, 1 1 -3
2.011, 45.08, 543, 0 2 0

***

Entry 2:
This entry pairs a crystal structure of ZrCu2TeS2 with its calculated X-ray diffraction stick pattern. Radiation: λ = 1.5418 Å (Cu Kα). Structure: DFT lattice parameters and positions (GGA-PBE).
Neutral-atom scattering factors, no anomalous dispersion.

Cell and atoms:
abc: 19.0314 3.8560 6.7361
angles: 90.00 95.18 90.00
Space group C2/m (No. 12)
Unique sites:
Zr1 0.1515 0.0000 0.0414 (multiplicity 4)
Cu1 0.0419 0.5000 0.1609 (multiplicity 4)
Cu2 0.2135 0.0000 0.4371 (multiplicity 4)
Te1 0.0797 0.0000 0.3939 (multiplicity 4)
S1 0.0871 0.5000 0.8579 (multiplicity 4)
S2 0.2446 0.5000 0.2204 (multiplicity 4)

Peak list (10 most intense, 15° ≤ 2θ ≤ 90°, by angle)
d/Å, two_theta, intensity, hkl
5.725, 15.48, 852, 2 0 -1
5.256, 16.87, 475, 2 0 1
3.291, 27.09, 945, 3 1 0
3.264, 27.32, 992, 1 1 1
2.963, 30.16, 789, 6 0 -1
2.901, 30.82, 578, 3 1 1
2.486, 36.13, 614, 1 1 2
2.059, 43.97, 924, 7 1 1
1.940, 46.83, 1000, 1 1 -3
1.928, 47.14, 624, 0 2 0